[1]
Theoretical PXRD pattern
Compound: SmDyCl2O2
Radiation: copper Kα
Structure: a structure optimized by DFT (PBE)

Crystal structure
```
SmDyCl2O2
1.0
3.934 0.000 0.000
0.000 3.934 0.000
0.000 0.000 6.741
Sm Dy Cl O
1 1 2 2
direct
0.000 0.000 0.000 Sm
0.500 0.500 0.659 Dy
0.000 0.000 0.454 Cl
0.500 0.500 0.198 Cl
0.000 0.500 0.822 O
0.500 0.000 0.822 O
```

Most intense lines, 10° ≤ 2θ ≤ 90°, low angle first:
13.13°, I 41; 26.23°, I 92; 32.18°, I 69; 35.06°, I 100; 42.12°, I 22; 46.15°, I 35; 52.34°, I 24; 53.85°, I 27; 59.24°, I 42; 59.69°, I 16; 76.58°, I 12; 78.61°, I 14

[2]
Theoretical PXRD pattern
Compound: K2Re2Se5
Radiation: copper Kα
Structure: a structure optimized by DFT (PBE)

Crystal structure
```
K2Re2Se5
1.0
5.167 -4.054 0.000
5.167 4.054 0.000
-4.501 0.000 11.015
K Re Se
4 4 10
direct
0.061 0.394 0.318 K
0.394 0.061 0.818 K
0.606 0.939 0.182 K
0.939 0.606 0.682 K
0.213 0.549 0.046 Re
0.451 0.787 0.454 Re
0.549 0.213 0.546 Re
0.787 0.451 0.954 Re
0.120 0.211 0.034 Se
0.211 0.120 0.534 Se
0.217 0.783 0.250 Se
0.380 0.612 0.899 Se
0.388 0.620 0.601 Se
0.612 0.380 0.399 Se
0.620 0.388 0.101 Se
0.783 0.217 0.750 Se
0.789 0.880 0.466 Se
0.880 0.789 0.966 Se
```

Most intense lines, 10° ≤ 2θ ≤ 90°, low angle first:
14.32°, I 30; 14.61°, I 100; 16.09°, I 66; 24.99°, I 18; 28.26°, I 19; 31.91°, I 36; 32.19°, I 25; 34.49°, I 20; 34.79°, I 18; 36.66°, I 17; 45.79°, I 27; 48.24°, I 23

[3]
Theoretical PXRD pattern
Compound: LiWAuSeS2
Radiation: copper Kα
Structure: a structure optimized by DFT (PBE)

Crystal structure
```
LiWAuSeS2
1.0
1.671 -7.009 0.000
1.671 7.009 0.000
0.000 0.000 9.993
Li W Au Se S
2 2 2 2 4
direct
0.200 0.800 0.750 Li
0.800 0.200 0.250 Li
0.500 0.500 0.000 W
0.500 0.500 0.500 W
0.148 0.852 0.250 Au
0.852 0.148 0.750 Au
0.444 0.556 0.250 Se
0.556 0.444 0.750 Se
0.129 0.871 0.018 S
0.129 0.871 0.482 S
0.871 0.129 0.518 S
0.871 0.129 0.982 S
```

Most intense lines, 10° ≤ 2θ ≤ 90°, low angle first:
12.63°, I 55; 15.44°, I 43; 21.85°, I 31; 26.96°, I 20; 28.87°, I 35; 31.17°, I 29; 32.93°, I 100; 34.18°, I 14; 35.95°, I 39; 45.99°, I 15; 49.55°, I 47; 56.66°, I 25

Question: What is the formula in the second record?
Answer: K2Re2Se5